(1)
For Ca3Ge13Rh4, a PBE-relaxed structure gives the simulated powder X-ray diffraction pattern in this record (CuKα).
No peak broadening, texture or thermal motion is included.

Atomic structure:
```
Ca3Ge13Rh4
1.0
9.091 0.000 0.000
0.000 9.091 0.000
0.000 0.000 9.091
Ca Ge Rh
6 26 8
direct
0.000 0.250 0.500
0.000 0.750 0.500
0.250 0.500 0.000
0.500 0.000 0.250
0.500 0.000 0.750
0.750 0.500 0.000
0.000 0.000 0.000
0.000 0.300 0.145
0.000 0.300 0.855
0.000 0.700 0.145
0.000 0.700 0.855
0.145 0.000 0.300
0.145 0.000 0.700
0.200 0.500 0.355
0.200 0.500 0.645
0.300 0.145 0.000
0.300 0.855 0.000
0.355 0.200 0.500
0.355 0.800 0.500
0.500 0.355 0.200
0.500 0.355 0.800
0.500 0.500 0.500
0.500 0.645 0.200
0.500 0.645 0.800
0.645 0.200 0.500
0.645 0.800 0.500
0.700 0.145 0.000
0.700 0.855 0.000
0.800 0.500 0.355
0.800 0.500 0.645
0.855 0.000 0.300
0.855 0.000 0.700
0.250 0.250 0.250
0.250 0.250 0.750
0.250 0.750 0.250
0.250 0.750 0.750
0.750 0.250 0.250
0.750 0.250 0.750
0.750 0.750 0.250
0.750 0.750 0.750
```

Main lines, sorted by position (5° ≤ 2θ ≤ 70°):
| 2theta | d_spacing | I/Imax |
| --- | --- | --- |
| 19.5 | 4.545 | 372 |
| 35.6 | 2.521 | 1000 |
| 37.0 | 2.430 | 353 |
| 39.7 | 2.273 | 322 |
| 44.6 | 2.033 | 335 |
| 49.1 | 1.856 | 607 |

(2)
For Ca2GeSe4, a PBE-relaxed structure gives the simulated powder X-ray diffraction pattern in this record (CuKα).
No peak broadening, texture or thermal motion is included.

Atomic structure:
```
Ca2GeSe4
1.0
10.149 0.000 0.000
0.000 5.210 3.599
0.000 -5.210 3.599
Ca Ge Se
4 2 8
direct
0.000 0.000 0.000
0.250 0.747 0.361
0.500 0.000 0.000
0.750 0.361 0.747
0.250 0.308 0.765
0.750 0.765 0.308
0.059 0.115 0.573
0.250 0.265 0.129
0.250 0.706 0.839
0.441 0.115 0.573
0.559 0.573 0.115
0.750 0.129 0.265
0.750 0.839 0.706
0.941 0.573 0.115
```

Main lines, sorted by position (5° ≤ 2θ ≤ 70°):
| 2theta | d_spacing | I/Imax |
| --- | --- | --- |
| 17.3 | 5.115 | 355 |
| 29.9 | 2.989 | 629 |
| 30.4 | 2.937 | 889 |
| 35.1 | 2.558 | 1000 |
| 35.4 | 2.537 | 298 |
| 53.8 | 1.704 | 462 |

(3)
For Ca5SnGe2, a PBE-relaxed structure gives the simulated powder X-ray diffraction pattern in this record (CuKα).
No peak broadening, texture or thermal motion is included.

Atomic structure:
```
Ca5SnGe2
1.0
-3.920 3.920 7.564
3.920 -3.920 7.564
3.920 3.920 -7.564
Ca Sn Ge
10 2 4
direct
0.000 0.000 0.000
0.040 0.540 0.853
0.187 0.040 0.500
0.313 0.813 0.853
0.460 0.313 0.500
0.500 0.500 0.000
0.540 0.687 0.500
0.687 0.187 0.147
0.813 0.960 0.500
0.960 0.460 0.147
0.250 0.250 0.000
0.750 0.750 0.000
0.118 0.382 0.500
0.382 0.882 0.264
0.618 0.118 0.736
0.882 0.618 0.500
```

Main lines, sorted by position (5° ≤ 2θ ≤ 70°):
| 2theta | d_spacing | I/Imax |
| --- | --- | --- |
| 19.9 | 4.471 | 852 |
| 31.1 | 2.879 | 1000 |
| 32.9 | 2.722 | 777 |
| 36.2 | 2.479 | 738 |
| 39.3 | 2.292 | 484 |
| 61.7 | 1.504 | 278 |

(4)
For Ca2SnGe, a PBE-relaxed structure gives the simulated powder X-ray diffraction pattern in this record (CuKα).
No peak broadening, texture or thermal motion is included.

Atomic structure:
```
Ca2SnGe
1.0
6.120 0.000 0.000
0.000 4.200 0.000
-2.450 0.000 8.672
Ca Sn Ge
4 2 2
direct
0.191 0.250 0.424
0.284 0.750 0.061
0.716 0.250 0.939
0.809 0.750 0.576
0.372 0.750 0.710
0.628 0.250 0.290
0.128 0.250 0.792
0.872 0.750 0.208
```

Main lines, sorted by position (5° ≤ 2θ ≤ 70°):
| 2theta | d_spacing | I/Imax |
| --- | --- | --- |
| 20.4 | 4.344 | 622 |
| 29.6 | 3.019 | 1000 |
| 37.3 | 2.411 | 613 |
| 37.4 | 2.402 | 606 |
| 38.2 | 2.354 | 379 |
| 38.5 | 2.340 | 378 |

(5)
For Ca3SnGe3, a PBE-relaxed structure gives the simulated powder X-ray diffraction pattern in this record (CuKα).
No peak broadening, texture or thermal motion is included.

Atomic structure:
```
Ca3SnGe3
1.0
2.259 -5.459 0.000
2.259 5.459 0.000
0.000 0.000 14.304
Ca Sn Ge
6 2 6
direct
0.016 0.984 0.750
0.301 0.699 0.599
0.301 0.699 0.901
0.699 0.301 0.099
0.699 0.301 0.401
0.984 0.016 0.250
0.000 0.000 0.000
0.000 0.000 0.500
0.266 0.734 0.250
0.407 0.593 0.108
0.407 0.593 0.392
0.593 0.407 0.608
0.593 0.407 0.892
0.734 0.266 0.750
```

Main lines, sorted by position (5° ≤ 2θ ≤ 70°):
| 2theta | d_spacing | I/Imax |
| --- | --- | --- |
| 20.5 | 4.339 | 386 |
| 31.6 | 2.834 | 526 |
| 33.0 | 2.716 | 1000 |
| 36.9 | 2.436 | 593 |
| 39.9 | 2.259 | 388 |
| 41.6 | 2.170 | 291 |

(6)
For CaSnGe2, a PBE-relaxed structure gives the simulated powder X-ray diffraction pattern in this record (CuKα).
No peak broadening, texture or thermal motion is included.

Atomic structure:
```
CaSnGe2
1.0
4.604 0.000 0.000
0.000 4.604 0.000
0.000 0.000 4.287
Ca Sn Ge
1 1 2
direct
0.000 0.000 0.000
0.500 0.500 0.000
0.000 0.500 0.500
0.500 0.000 0.500
```

Main lines, sorted by position (5° ≤ 2θ ≤ 70°):
| 2theta | d_spacing | I/Imax |
| --- | --- | --- |
| 19.3 | 4.604 | 125 |
| 34.6 | 2.593 | 1000 |
| 39.1 | 2.302 | 356 |
| 42.2 | 2.143 | 144 |
| 58.9 | 1.569 | 212 |
| 68.0 | 1.379 | 275 |

(7)
For Ca4Sn2Ge, a PBE-relaxed structure gives the simulated powder X-ray diffraction pattern in this record (CuKα).
No peak broadening, texture or thermal motion is included.

Atomic structure:
```
Ca4Sn2Ge
1.0
-2.824 2.824 7.612
2.824 -2.824 7.612
2.824 2.824 -7.612
Ca Sn Ge
4 2 1
direct
0.000 0.500 0.500
0.186 0.186 0.000
0.500 0.000 0.500
0.814 0.814 0.000
0.390 0.390 0.000
0.610 0.610 0.000
0.000 0.000 0.000
```

Main lines, sorted by position (5° ≤ 2θ ≤ 70°):
| 2theta | d_spacing | I/Imax |
| --- | --- | --- |
| 11.6 | 7.612 | 467 |
| 22.3 | 3.994 | 953 |
| 31.7 | 2.824 | 934 |
| 32.5 | 2.755 | 414 |
| 33.4 | 2.680 | 1000 |
| 46.7 | 1.944 | 779 |

(8)
For CaTa2Ge2, a PBE-relaxed structure gives the simulated powder X-ray diffraction pattern in this record (CuKα).
No peak broadening, texture or thermal motion is included.

Atomic structure:
```
CaTa2Ge2
1.0
7.505 0.000 0.000
0.000 7.505 0.000
0.000 0.000 3.400
Ca Ta Ge
2 4 4
direct
0.000 0.000 0.000
0.500 0.500 0.000
0.140 0.360 0.500
0.360 0.860 0.500
0.640 0.140 0.500
0.860 0.640 0.500
0.146 0.646 0.000
0.354 0.146 0.000
0.646 0.854 0.000
0.854 0.354 0.000
```

Main lines, sorted by position (5° ≤ 2θ ≤ 70°):
| 2theta | d_spacing | I/Imax |
| --- | --- | --- |
| 16.7 | 5.307 | 305 |
| 26.6 | 3.356 | 197 |
| 37.7 | 2.389 | 1000 |
| 37.9 | 2.373 | 351 |
| 48.5 | 1.876 | 146 |
| 51.5 | 1.775 | 138 |

(9)
For Ca3GeTe4, a PBE-relaxed structure gives the simulated powder X-ray diffraction pattern in this record (CuKα).
No peak broadening, texture or thermal motion is included.

Atomic structure:
```
Ca3GeTe4
1.0
12.683 0.000 0.000
0.000 6.352 0.000
0.000 0.000 6.355
Ca Ge Te
6 2 8
direct
0.000 0.245 0.000
0.250 0.249 0.498
0.250 0.751 0.998
0.500 0.755 0.500
0.750 0.249 0.498
0.750 0.751 0.998
0.000 0.783 0.533
0.500 0.217 0.033
0.000 0.230 0.502
0.000 0.748 0.980
0.244 0.750 0.498
0.256 0.250 0.998
0.500 0.252 0.480
0.500 0.770 0.002
0.744 0.250 0.998
0.756 0.750 0.498
```

Main lines, sorted by position (5° ≤ 2θ ≤ 70°):
| 2theta | d_spacing | I/Imax |
| --- | --- | --- |
| 24.3 | 3.666 | 343 |
| 28.1 | 3.175 | 1000 |
| 40.2 | 2.245 | 734 |
| 47.5 | 1.915 | 182 |
| 49.7 | 1.833 | 254 |
| 65.7 | 1.420 | 200 |

(10)
For CaThGe2, a PBE-relaxed structure gives the simulated powder X-ray diffraction pattern in this record (CuKα).
No peak broadening, texture or thermal motion is included.

Atomic structure:
```
CaThGe2
1.0
3.424 0.000 0.000
0.000 3.424 0.000
0.000 0.000 8.302
Ca Th Ge
1 1 2
direct
0.000 0.000 0.000
0.000 0.000 0.500
0.500 0.500 0.248
0.500 0.500 0.752
```

Main lines, sorted by position (5° ≤ 2θ ≤ 70°):
| 2theta | d_spacing | I/Imax |
| --- | --- | --- |
| 10.7 | 8.302 | 633 |
| 28.2 | 3.166 | 304 |
| 33.9 | 2.642 | 1000 |
| 37.1 | 2.421 | 392 |
| 58.6 | 1.576 | 207 |
| 64.9 | 1.437 | 304 |

(11)
For Ca5Tl2Ge2, a PBE-relaxed structure gives the simulated powder X-ray diffraction pattern in this record (CuKα).
No peak broadening, texture or thermal motion is included.

Atomic structure:
```
Ca5Tl2Ge2
1.0
8.602 -3.901 0.000
8.602 3.901 0.000
0.000 0.000 7.771
Ca Tl Ge
10 4 4
direct
0.000 0.000 0.000
0.056 0.698 0.677
0.198 0.556 0.177
0.302 0.944 0.677
0.444 0.802 0.177
0.500 0.500 0.500
0.556 0.198 0.823
0.698 0.056 0.323
0.802 0.444 0.823
0.944 0.302 0.323
0.220 0.220 0.000
0.280 0.280 0.500
0.720 0.720 0.500
0.780 0.780 0.000
0.117 0.883 0.382
0.383 0.617 0.882
0.617 0.383 0.118
0.883 0.117 0.618
```

Main lines, sorted by position (5° ≤ 2θ ≤ 70°):
| 2theta | d_spacing | I/Imax |
| --- | --- | --- |
| 22.4 | 3.972 | 584 |
| 22.8 | 3.893 | 631 |
| 25.1 | 3.547 | 823 |
| 31.0 | 2.887 | 1000 |
| 32.5 | 2.753 | 556 |
| 40.2 | 2.244 | 492 |

(12)
For CaVGe, a PBE-relaxed structure gives the simulated powder X-ray diffraction pattern in this record (CuKα).
No peak broadening, texture or thermal motion is included.

Atomic structure:
```
CaVGe
1.0
-1.900 2.013 8.033
1.900 -2.013 8.033
1.900 2.013 -8.033
Ca V Ge
2 2 2
direct
0.171 0.171 0.000
0.829 0.829 0.000
0.000 0.500 0.500
0.500 0.000 0.500
0.389 0.389 0.000
0.611 0.611 0.000
```

Main lines, sorted by position (5° ≤ 2θ ≤ 70°):
| 2theta | d_spacing | I/Imax |
| --- | --- | --- |
| 11.0 | 8.033 | 521 |
| 34.3 | 2.614 | 287 |
| 35.7 | 2.512 | 336 |
| 36.6 | 2.454 | 314 |
| 39.6 | 2.277 | 1000 |
| 45.0 | 2.013 | 252 |